1.
This entry pairs a crystal structure of GdCrO4 with its theoretical PXRD pattern. Radiation: a wavelength of 1.5418 Å. Structure: DFT lattice parameters and positions (PBE+U).
Peak positions follow from Bragg's law for the DFT cell and can differ from measured ones.

Structure:
```
data_GdCrO4
_chemical_formula_sum 'Gd4 Cr4 O16'
_cell_length_a 7.2997
_cell_length_b 7.2997
_cell_length_c 6.3467
_cell_angle_alpha 90.00
_cell_angle_beta 90.00
_cell_angle_gamma 90.00
_symmetry_space_group_name_H-M 'I 41/a m d'
_symmetry_Int_Tables_number 141
loop_
_symmetry_equiv_pos_as_xyz
'x,y,z'
'-x,-y,-z'
'-y+1/4,x+3/4,z+1/4'
'y+1/4,-x+3/4,-z+1/4'
'-x+1/2,-y,z+1/2'
'x+1/2,y,-z+1/2'
'y+1/4,-x+1/4,z+3/4'
'-y+1/4,x+1/4,-z+3/4'
'x,-y,-z'
'-x,y,z'
'-y+1/4,-x+1/4,-z+3/4'
'y+1/4,x+1/4,z+3/4'
'-x+1/2,y,-z+1/2'
'x+1/2,-y,z+1/2'
'y+1/4,x+3/4,-z+1/4'
'-y+1/4,-x+3/4,z+1/4'
'x+1/2,y+1/2,z+1/2'
'-x+1/2,-y+1/2,-z+1/2'
'-y+3/4,x+1/4,z+3/4'
'y+3/4,-x+1/4,-z+3/4'
'-x,-y+1/2,z'
'x,y+1/2,-z'
'y+3/4,-x+3/4,z+1/4'
'-y+3/4,x+3/4,-z+1/4'
'x+1/2,-y+1/2,-z+1/2'
'-x+1/2,y+1/2,z+1/2'
'-y+3/4,-x+3/4,-z+1/4'
'y+3/4,x+3/4,z+1/4'
'-x,y+1/2,-z'
'x,-y+1/2,z'
'y+3/4,x+1/4,-z+3/4'
'-y+3/4,-x+1/4,z+3/4'
loop_
_atom_site_label
_atom_site_type_symbol
_atom_site_fract_x
_atom_site_fract_y
_atom_site_fract_z
Gd1 Gd 0.0000 0.2500 0.3750
Cr1 Cr 0.0000 0.2500 0.8750
O1 O 0.0000 0.0670 0.7033
```

The 6 most intense peaks (5° ≤ 2θ ≤ 70°), low angle first:
| 2theta | I (rel.) |
| --- | --- |
| 18.53 | 34 |
| 24.39 | 100 |
| 33.14 | 69 |
| 34.76 | 22 |
| 48.78 | 58 |
| 61.29 | 17 |

2.
This entry pairs a crystal structure of HoCrGeO5 with its theoretical PXRD pattern. Radiation: a wavelength of 1.5418 Å. Structure: DFT lattice parameters and positions (PBE+U).
Peak positions follow from Bragg's law for the DFT cell and can differ from measured ones.

Structure:
```
data_HoCrGeO5
_chemical_formula_sum 'Ho4 Cr4 Ge4 O20'
_cell_length_a 7.4298
_cell_length_b 8.4393
_cell_length_c 5.7986
_cell_angle_alpha 90.00
_cell_angle_beta 90.00
_cell_angle_gamma 90.00
_symmetry_space_group_name_H-M 'P b a m'
_symmetry_Int_Tables_number 55
_symmetry_space_group_name_Hall '-P 2 2ab'
loop_
_atom_site_label
_atom_site_type_symbol
_atom_site_fract_x
_atom_site_fract_y
_atom_site_fract_z
Ho1 Ho 0.1462 0.1720 0.0000
Cr1 Cr 0.0000 0.5000 0.2504
Ge1 Ge 0.1173 0.8547 0.5000
O1 O 0.0000 0.0000 0.2877
O2 O 0.1136 0.7163 0.2502
O3 O 0.1566 0.4168 0.5000
O4 O 0.1684 0.4408 0.0000
```

The 6 most intense peaks (5° ≤ 2θ ≤ 70°), low angle first:
| 2theta | I (rel.) |
| --- | --- |
| 15.28 | 23 |
| 28.79 | 77 |
| 30.48 | 100 |
| 34.08 | 30 |
| 34.88 | 22 |
| 59.04 | 38 |